For GdN, a cell relaxed with GGA-PBE gives the computed XRD peak list in this record (Cu Kα (weighted mean of Kα1 and Kα2)).

The 6 most intense peaks (10 to 90 degrees two-theta), sorted by position:
| hkl | 2θ (°) | I_rel |
| --- | --- | --- |
| 1 1 1 | 31.06 | 100 |
| 2 0 0 | 36.02 | 72 |
| 2 2 0 | 51.86 | 50 |
| 3 1 1 | 61.70 | 45 |
| 3 3 1 | 84.74 | 19 |
| 4 2 0 | 87.48 | 23 |

Structure:
Lattice parameters (Å, degrees): 4.986 4.986 4.986 90.00 90.00 90.00
Space group Fm-3m (No. 225)
Symmetry-distinct sites (fractional):
1 Gd 0.000 0.000 0.000
2 N 0.000 0.000 0.500